The following is a calculated powder diffraction line list of Pr2DySn3. It was derived from the PBE geometry in Alexandria, using Cu Kα (λ = 1.5418 Å).
Peak positions follow from Bragg's law for the DFT cell and can differ from measured ones.

Cell and atoms:
Cell: 5.243 6.372 11.291 Å, 90.00 90.00 90.00°
Space group Immm (No. 71)
Symmetry-distinct sites (fractional):
Pr: 0.000 0.000 0.173 [4 per cell]
Dy: 0.000 0.000 0.500 [2 per cell]
Sn: 0.000 0.500 0.149 [4 per cell]
Sn: 0.000 0.500 0.500 [2 per cell]

Peak list (12 most intense, 10° ≤ 2θ ≤ 90°, sorted by position)
2θ = 28.0°, d 3.186, intensity 58; 2θ = 29.2°, d 3.058, intensity 100; 2θ = 34.2°, d 2.622, intensity 34; 2θ = 40.9°, d 2.206, intensity 81; 2θ = 44.8°, d 2.024, intensity 33; 2θ = 48.4°, d 1.882, intensity 11; 2θ = 56.8°, d 1.620, intensity 14; 2θ = 58.2°, d 1.585, intensity 15; 2θ = 60.6°, d 1.529, intensity 12; 2θ = 65.8°, d 1.419, intensity 20; 2θ = 66.1°, d 1.413, intensity 20; 2θ = 68.0°, d 1.378, intensity 16

=====

The following is a calculated powder diffraction line list of Pr7DySn4. It was derived from the PBE geometry in Alexandria, using Cu Kα (λ = 1.5418 Å).
Peak positions follow from Bragg's law for the DFT cell and can differ from measured ones.

Cell and atoms:
Cell: 14.375 5.930 11.238 Å, 90.00 125.00 90.00°
Space group C2/m (No. 12)
Symmetry-distinct sites (fractional):
Pr: 0.000 0.000 0.000 [2 per cell]
Pr: 0.059 0.500 0.371 [4 per cell]
Pr: 0.189 0.000 0.617 [4 per cell]
Pr: 0.208 0.500 0.889 [4 per cell]
Dy: 0.000 0.500 0.000 [2 per cell]
Sn: 0.062 0.000 0.763 [4 per cell]
Sn: 0.197 0.000 0.328 [4 per cell]

Peak list (12 most intense, 10° ≤ 2θ ≤ 90°, sorted by position)
2θ = 27.4°, d 3.251, intensity 68; 2θ = 28.8°, d 3.099, intensity 72; 2θ = 29.1°, d 3.069, intensity 22; 2θ = 30.1°, d 2.965, intensity 100; 2θ = 32.7°, d 2.742, intensity 28; 2θ = 33.1°, d 2.703, intensity 69; 2θ = 35.5°, d 2.530, intensity 30; 2θ = 36.8°, d 2.443, intensity 38; 2θ = 38.4°, d 2.343, intensity 23; 2θ = 41.2°, d 2.191, intensity 48; 2θ = 45.0°, d 2.013, intensity 26; 2θ = 55.5°, d 1.657, intensity 16

=====

Repeat the second record exactly.
The following is a calculated powder diffraction line list of Pr7DySn4. It was derived from the PBE geometry in Alexandria, using Cu Kα (λ = 1.5418 Å).
Peak positions follow from Bragg's law for the DFT cell and can differ from measured ones.

Cell and atoms:
Cell: 14.375 5.930 11.238 Å, 90.00 125.00 90.00°
Space group C2/m (No. 12)
Symmetry-distinct sites (fractional):
Pr: 0.000 0.000 0.000 [2 per cell]
Pr: 0.059 0.500 0.371 [4 per cell]
Pr: 0.189 0.000 0.617 [4 per cell]
Pr: 0.208 0.500 0.889 [4 per cell]
Dy: 0.000 0.500 0.000 [2 per cell]
Sn: 0.062 0.000 0.763 [4 per cell]
Sn: 0.197 0.000 0.328 [4 per cell]

Peak list (12 most intense, 10° ≤ 2θ ≤ 90°, sorted by position)
2θ = 27.4°, d 3.251, intensity 68; 2θ = 28.8°, d 3.099, intensity 72; 2θ = 29.1°, d 3.069, intensity 22; 2θ = 30.1°, d 2.965, intensity 100; 2θ = 32.7°, d 2.742, intensity 28; 2θ = 33.1°, d 2.703, intensity 69; 2θ = 35.5°, d 2.530, intensity 30; 2θ = 36.8°, d 2.443, intensity 38; 2θ = 38.4°, d 2.343, intensity 23; 2θ = 41.2°, d 2.191, intensity 48; 2θ = 45.0°, d 2.013, intensity 26; 2θ = 55.5°, d 1.657, intensity 16

=====

Number 1 is which compound?
Pr2DySn3